# KAgSb2
Simulated PXRD pattern, copper Kα. Input: a structure optimized by DFT (GGA-PBE).
Kinematic intensities with the Lorentz-polarization factor, no thermal factor.

Largest 6 diffraction maxima, low angle first, 5° ≤ 2θ ≤ 70°:
2θ (°)	I (rel.)	hkl
11.7	95	0 0 1
31.6	74	0 1 2
32.6	100	1 1 0
34.5	58	1 0 2
34.8	29	1 1 1
55.7	29	1 2 2

Crystal structure
a b c (Å): 3.5826 4.2652 7.5675
angles (deg): 90.00 90.00 90.00
Element x y z (fractional)
K1 0.0000 0.0000 0.0000
Ag1 0.0000 0.0000 0.5000
Sb1 0.5000 0.5000 0.3125
Sb2 0.5000 0.5000 0.6875